# 1
Starting from a cell relaxed with GGA-PBE, the XRD peak list of Y4CdFeN2 was computed for Cu Kα (weighted mean of Kα1 and Kα2).
Kinematic intensities with the Lorentz-polarization factor, no thermal factor.

Crystal structure
```
data_Y4CdFeN2
_chemical_formula_sum 'Y4 Cd1 Fe1 N2'
_symmetry_space_group_name_H-M 'P -6 m 2'
_symmetry_Int_Tables_number 187
_symmetry_space_group_name_Hall 'P -6 2'
_cell_length_a 3.4809
_cell_length_b 3.4809
_cell_length_c 15.1566
_cell_angle_alpha 90.00
_cell_angle_beta 90.00
_cell_angle_gamma 120.00
loop_
_atom_site_label
_atom_site_type_symbol
_atom_site_fract_x
_atom_site_fract_y
_atom_site_fract_z
_atom_site_occupancy
Y1 Y 0.0000 0.0000 0.1382 1
Y2 Y 0.6667 0.3333 0.3201 1
Cd1 Cd 0.0000 0.0000 0.5000 1
Fe1 Fe 0.6667 0.3333 0.0000 1
N1 N 0.3333 0.6667 0.2374 1
```

Most intense lines, 10 to 80 degrees two-theta, in order of rising 2θ:
- 29.6 deg, I 24, (1 0 0)
- 34.7 deg, I 100, (1 0 3)
- 35.5 deg, I 13, (0 0 6)
- 46.9 deg, I 12, (1 0 6)
- 52.6 deg, I 24, (1 1 0)
- 57.4 deg, I 12, (1 0 8)
- 64.5 deg, I 15, (2 0 3)
- 65.1 deg, I 12, (1 1 6)

=====

# 2
Starting from a cell relaxed with GGA-PBE, the XRD peak list of YHoFe2Ge4 was computed for Cu Kα (weighted mean of Kα1 and Kα2).
Kinematic intensities with the Lorentz-polarization factor, no thermal factor.

Crystal structure
```
data_YHoFe2Ge4
_chemical_formula_sum 'Y2 Ho2 Fe4 Ge8'
_symmetry_space_group_name_H-M 'A m m 2'
_symmetry_Int_Tables_number 38
_cell_length_a 4.1882
_cell_length_b 4.1419
_cell_length_c 16.6322
_cell_angle_alpha 90.00
_cell_angle_beta 90.00
_cell_angle_gamma 90.00
loop_
_symmetry_equiv_pos_as_xyz
'x,y,z'
'-x,-y,z'
'-x,y,z'
'x,-y,z'
'x,y+1/2,z+1/2'
'-x,-y+1/2,z+1/2'
'-x,y+1/2,z+1/2'
'x,-y+1/2,z+1/2'
loop_
_atom_site_label
_atom_site_type_symbol
_atom_site_fract_x
_atom_site_fract_y
_atom_site_fract_z
_atom_site_occupancy
Y1 Y 0.0000 0.0000 0.0000 1
Ho1 Ho 0.5000 0.0000 0.2191 1
Fe1 Fe 0.0000 0.0000 0.7901 1
Fe2 Fe 0.5000 0.0000 0.4280 1
Ge1 Ge 0.0000 0.0000 0.3594 1
Ge2 Ge 0.0000 0.0000 0.6544 1
Ge3 Ge 0.5000 0.0000 0.5642 1
Ge4 Ge 0.5000 0.0000 0.8582 1
```

Most intense lines, 10 to 80 degrees two-theta, in order of rising 2θ:
- 30.8 deg, I 14, (1 1 1)
- 34.5 deg, I 100, (1 1 3)
- 39.0 deg, I 23, (1 0 6)
- 43.2 deg, I 22, (2 0 0)
- 43.7 deg, I 21, (0 2 0)
- 56.5 deg, I 11, (2 1 5)
- 60.0 deg, I 13, (1 2 6)
- 63.1 deg, I 14, (2 2 0)

=====

# 3
Starting from a cell relaxed with GGA-PBE, the XRD peak list of InFe2Pb was computed for Cu Kα (weighted mean of Kα1 and Kα2).
Kinematic intensities with the Lorentz-polarization factor, no thermal factor.

Crystal structure
```
data_InFe2Pb
_chemical_formula_sum 'In4 Fe8 Pb4'
_symmetry_space_group_name_H-M 'P m -3 m'
_symmetry_Int_Tables_number 221
_symmetry_space_group_name_Hall '-P 4 2 3'
_cell_length_a 6.3601
_cell_length_b 6.3601
_cell_length_c 6.3601
_cell_angle_alpha 90.00
_cell_angle_beta 90.00
_cell_angle_gamma 90.00
loop_
_atom_site_label
_atom_site_type_symbol
_atom_site_fract_x
_atom_site_fract_y
_atom_site_fract_z
_atom_site_occupancy
In1 In 0.0000 0.0000 0.0000 1
In2 In 0.0000 0.0000 0.5000 1
Fe1 Fe 0.2493 0.2493 0.2493 1
Pb1 Pb 0.0000 0.5000 0.5000 1
Pb2 Pb 0.5000 0.5000 0.5000 1
```

Most intense lines, 10 to 80 degrees two-theta, in order of rising 2θ:
- 13.9 deg, I 6, (1 0 0)
- 28.1 deg, I 27, (2 0 0)
- 31.5 deg, I 4, (2 1 0)
- 40.1 deg, I 100, (2 2 0)
- 49.7 deg, I 8, (2 2 2)
- 58.0 deg, I 17, (4 0 0)
- 65.7 deg, I 11, (4 2 0)
- 72.9 deg, I 33, (4 2 2)

=====

# 4
Starting from a cell relaxed with GGA-PBE, the XRD peak list of Pu3PaP4 was computed for Cu Kα (weighted mean of Kα1 and Kα2).
Kinematic intensities with the Lorentz-polarization factor, no thermal factor.

Crystal structure
```
data_Pu3PaP4
_chemical_formula_sum 'Pu6 Pa2 P8'
_symmetry_space_group_name_H-M 'C m m m'
_symmetry_Int_Tables_number 65
_symmetry_space_group_name_Hall '-C 2 2'
_cell_length_a 7.9672
_cell_length_b 11.2990
_cell_length_c 4.0051
_cell_angle_alpha 90.00
_cell_angle_beta 90.00
_cell_angle_gamma 90.00
loop_
_atom_site_label
_atom_site_type_symbol
_atom_site_fract_x
_atom_site_fract_y
_atom_site_fract_z
_atom_site_occupancy
Pu1 Pu 0.0000 0.0000 0.0000 1
Pu2 Pu 0.2500 0.2500 0.5000 1
Pa1 Pa 0.0000 0.5000 0.0000 1
P1 P 0.0000 0.2510 0.0000 1
P2 P 0.2479 0.5000 0.5000 1
```

Most intense lines, 10 to 80 degrees two-theta, in order of rising 2θ:
- 27.3 deg, I 56, (0 2 1)
- 27.4 deg, I 55, (2 2 0)
- 31.7 deg, I 100, (2 0 1)
- 45.4 deg, I 50, (2 4 1)
- 53.8 deg, I 28, (2 2 2)
- 53.9 deg, I 28, (4 2 1)
- 56.3 deg, I 13, (0 4 2)
- 75.2 deg, I 23, (4 4 2)

=====

# 5
Starting from a cell relaxed with GGA-PBE, the XRD peak list of Ta5Al7 was computed for Cu Kα (weighted mean of Kα1 and Kα2).
Kinematic intensities with the Lorentz-polarization factor, no thermal factor.

Crystal structure
```
data_Ta5Al7
_chemical_formula_sum 'Ta10 Al14'
_symmetry_space_group_name_H-M 'P 63/m m c'
_symmetry_Int_Tables_number 194
_symmetry_space_group_name_Hall '-P 6c 2c'
_cell_length_a 5.3548
_cell_length_b 5.3548
_cell_length_c 16.9732
_cell_angle_alpha 90.00
_cell_angle_beta 90.00
_cell_angle_gamma 120.00
loop_
_atom_site_label
_atom_site_type_symbol
_atom_site_fract_x
_atom_site_fract_y
_atom_site_fract_z
_atom_site_occupancy
Ta1 Ta 0.1647 0.3294 0.2500 1
Ta2 Ta 0.3333 0.6667 0.6470 1
Al1 Al 0.0000 0.0000 0.1037 1
Al2 Al 0.0000 0.5000 0.0000 1
Al3 Al 0.3333 0.6667 0.1221 1
```

Most intense lines, 10 to 80 degrees two-theta, in order of rising 2θ:
- 10.4 deg, I 100, (0 0 2)
- 24.8 deg, I 16, (1 0 3)
- 32.7 deg, I 28, (1 0 5)
- 39.2 deg, I 44, (2 0 1)
- 39.8 deg, I 34, (1 1 4)
- 40.3 deg, I 15, (2 0 2)
- 42.1 deg, I 16, (2 0 3)
- 63.6 deg, I 12, (2 0 9)

=====

# 6
Starting from a cell relaxed with GGA-PBE, the XRD peak list of LiTc2 was computed for Cu Kα (weighted mean of Kα1 and Kα2).
Kinematic intensities with the Lorentz-polarization factor, no thermal factor.

Crystal structure
Unit cell a=7.2578 b=7.2578 c=7.2578 alpha=90.00 beta=90.00 gamma=90.00
Space group Fd-3m (No. 227, origin choice 2)
Symmetry-distinct sites (fractional):
1 Li 0.1250 0.1250 0.1250 [8 per cell]
2 Tc 0.0000 0.0000 0.5000 [16 per cell]

Most intense lines, 10 to 80 degrees two-theta, in order of rising 2θ:
- 21.2 deg, I 100, (1 1 1)
- 41.3 deg, I 59, (3 1 1)
- 43.2 deg, I 65, (2 2 2)
- 50.3 deg, I 29, (4 0 0)
- 55.2 deg, I 22, (3 3 1)
- 67.0 deg, I 18, (5 1 1)
- 73.9 deg, I 20, (4 4 0)
- 77.9 deg, I 15, (5 3 1)

=====

# 7
Starting from a cell relaxed with GGA-PBE, the XRD peak list of TbHoHg was computed for Cu Kα (weighted mean of Kα1 and Kα2).
Kinematic intensities with the Lorentz-polarization factor, no thermal factor.

Crystal structure
```
data_TbHoHg
_chemical_formula_sum 'Tb4 Ho4 Hg4'
_symmetry_space_group_name_H-M 'P n m a'
_symmetry_Int_Tables_number 62
_cell_length_a 7.0822
_cell_length_b 5.0807
_cell_length_c 9.1980
_cell_angle_alpha 90.00
_cell_angle_beta 90.00
_cell_angle_gamma 90.00
loop_
_symmetry_equiv_pos_as_xyz
'x,y,z'
'-x,-y,-z'
'-x+1/2,-y,z+1/2'
'x+1/2,y,-z+1/2'
'x+1/2,-y+1/2,-z+1/2'
'-x+1/2,y+1/2,z+1/2'
'-x,y+1/2,-z'
'x,-y+1/2,z'
loop_
_atom_site_label
_atom_site_type_symbol
_atom_site_fract_x
_atom_site_fract_y
_atom_site_fract_z
_atom_site_occupancy
Tb1 Tb 0.0154 0.2500 0.1934 1
Ho1 Ho 0.1680 0.2500 0.5750 1
Hg1 Hg 0.2398 0.2500 0.8987 1
```

Most intense lines, 10 to 80 degrees two-theta, in order of rising 2θ:
- 29.1 deg, I 35, (1 1 2)
- 30.8 deg, I 24, (2 1 0)
- 31.9 deg, I 42, (2 0 2)
- 32.3 deg, I 100, (2 1 1)
- 34.2 deg, I 86, (0 1 3)
- 35.3 deg, I 59, (0 2 0)
- 42.9 deg, I 20, (2 1 3)
- 48.3 deg, I 27, (2 2 2)

=====

# 8
Starting from a cell relaxed with GGA-PBE, the XRD peak list of Cu7Ag3 was computed for Cu Kα (weighted mean of Kα1 and Kα2).
Kinematic intensities with the Lorentz-polarization factor, no thermal factor.

Crystal structure
```
data_Cu7Ag3
_chemical_formula_sum 'Cu7 Ag3'
_symmetry_space_group_name_H-M 'P 1 2/m 1'
_symmetry_Int_Tables_number 10
_cell_length_a 6.6524
_cell_length_b 2.7418
_cell_length_c 7.6011
_cell_angle_alpha 90.00
_cell_angle_beta 99.59
_cell_angle_gamma 90.00
loop_
_symmetry_equiv_pos_as_xyz
'x,y,z'
'-x,-y,-z'
'-x,y,-z'
'x,-y,z'
loop_
_atom_site_label
_atom_site_type_symbol
_atom_site_fract_x
_atom_site_fract_y
_atom_site_fract_z
_atom_site_occupancy
Cu1 Cu 0.0000 0.0000 0.0000 1
Cu2 Cu 0.1016 0.5000 0.2980 1
Cu3 Cu 0.1767 0.0000 0.5876 1
Cu4 Cu 0.2562 0.5000 0.8659 1
Ag1 Ag 0.4016 0.0000 0.1657 1
Ag2 Ag 0.5000 0.5000 0.5000 1
```

Most intense lines, 10 to 80 degrees two-theta, in order of rising 2θ:
- 40.7 deg, I 43, (1 0 3)
- 41.0 deg, I 50, (3 0 -1)
- 41.8 deg, I 100, (1 1 -2)
- 46.0 deg, I 69, (2 1 1)
- 52.0 deg, I 22, (2 0 -4)
- 68.4 deg, I 11, (0 2 0)
- 71.8 deg, I 11, (0 1 5)
- 72.2 deg, I 16, (4 1 -3)

=====

# 9
Starting from a cell relaxed with GGA-PBE, the XRD peak list of NdZnCo was computed for Cu Kα (weighted mean of Kα1 and Kα2).
Kinematic intensities with the Lorentz-polarization factor, no thermal factor.

Crystal structure
```
data_NdZnCo
_chemical_formula_sum 'Nd2 Zn2 Co2'
_symmetry_space_group_name_H-M 'P 4/n m m'
_symmetry_Int_Tables_number 129
_cell_length_a 4.2909
_cell_length_b 4.2909
_cell_length_c 6.6142
_cell_angle_alpha 90.00
_cell_angle_beta 90.00
_cell_angle_gamma 90.00
loop_
_symmetry_equiv_pos_as_xyz
'x,y,z'
'-x,-y,-z'
'-y+1/2,x,z'
'y+1/2,-x,-z'
'-x+1/2,-y+1/2,z'
'x+1/2,y+1/2,-z'
'y,-x+1/2,z'
'-y,x+1/2,-z'
'x+1/2,-y,-z'
'-x+1/2,y,z'
'-y,-x,-z'
'y,x,z'
'-x,y+1/2,-z'
'x,-y+1/2,z'
'y+1/2,x+1/2,-z'
'-y+1/2,-x+1/2,z'
loop_
_atom_site_label
_atom_site_type_symbol
_atom_site_fract_x
_atom_site_fract_y
_atom_site_fract_z
_atom_site_occupancy
Nd1 Nd 0.2500 0.2500 0.2057 1
Zn1 Zn 0.2500 0.2500 0.6895 1
Co1 Co 0.2500 0.7500 0.5000 1
```

Most intense lines, 10 to 80 degrees two-theta, in order of rising 2θ:
- 24.7 deg, I 34, (1 0 1)
- 29.4 deg, I 49, (1 1 0)
- 34.2 deg, I 45, (1 0 2)
- 40.3 deg, I 100, (1 1 2)
- 42.1 deg, I 61, (2 0 0)
- 55.4 deg, I 22, (2 1 2)
- 60.0 deg, I 22, (1 0 4)
- 75.8 deg, I 29, (3 1 2)

=====

# 10
Starting from a cell relaxed with GGA-PBE, the XRD peak list of TbPmNO was computed for Cu Kα (weighted mean of Kα1 and Kα2).
Kinematic intensities with the Lorentz-polarization factor, no thermal factor.

Crystal structure
```
data_TbPmNO
_chemical_formula_sum 'Tb4 Pm4 N4 O4'
_symmetry_space_group_name_H-M 'P b c m'
_symmetry_Int_Tables_number 57
_cell_length_a 8.1947
_cell_length_b 6.7333
_cell_length_c 5.0701
_cell_angle_alpha 90.00
_cell_angle_beta 90.00
_cell_angle_gamma 90.00
loop_
_symmetry_equiv_pos_as_xyz
'x,y,z'
'-x,-y,-z'
'-x,-y,z+1/2'
'x,y,-z+1/2'
'x,-y+1/2,-z'
'-x,y+1/2,z'
'-x,y+1/2,-z+1/2'
'x,-y+1/2,z+1/2'
loop_
_atom_site_label
_atom_site_type_symbol
_atom_site_fract_x
_atom_site_fract_y
_atom_site_fract_z
_atom_site_occupancy
Tb1 Tb 0.1208 0.0735 0.2500 1
Pm1 Pm 0.3713 0.5807 0.2500 1
N1 N 0.3685 0.5654 0.7500 1
O1 O 0.1220 0.0955 0.7500 1
```

Most intense lines, 10 to 80 degrees two-theta, in order of rising 2θ:
- 25.4 deg, I 35, (2 1 0)
- 26.5 deg, I 23, (0 2 0)
- 31.0 deg, I 100, (2 1 1)
- 31.9 deg, I 40, (0 2 1)
- 35.4 deg, I 34, (0 0 2)
- 44.2 deg, I 18, (4 0 0)
- 46.1 deg, I 31, (2 3 0)
- 59.5 deg, I 28, (2 3 2)